# Pa2GaPdN5
Theoretical X-ray powder pattern, Cu Kα. Input: a crystal structure in Alexandria, relaxed with GGA-PBE.
No peak broadening, texture or thermal motion is included.

Atomic structure:
```
data_Pa2GaPdN5
_chemical_formula_sum 'Pa4 Ga2 Pd2 N10'
_cell_length_a 3.511
_cell_length_b 9.892
_cell_length_c 6.934
_cell_angle_alpha 90.00
_cell_angle_beta 100.25
_cell_angle_gamma 90.00
_space_group_name_H-M_alt 'P 1 21 1'
_space_group_IT_number 4
_space_group_name_Hall 'P 2yb'
loop_
_atom_site_label
_atom_site_fract_x
_atom_site_fract_y
_atom_site_fract_z
Pa1 0.017 0.000 0.253
Pa2 0.312 0.422 0.285
Ga1 0.473 0.708 0.030
Pd1 0.186 0.723 0.423
N1 0.005 0.770 0.122
N2 0.126 0.041 0.589
N3 0.249 0.755 0.739
N4 0.444 0.390 0.605
N5 0.495 0.011 0.013
```

Top 6 peaks for 2θ = 10–80°, low angle first:
- 2θ = 17.9°, rel. 42, hkl 0 2 0
- 2θ = 28.3°, rel. 40, hkl 1 1 -1
- 2θ = 30.1°, rel. 58, hkl 0 3 1
- 2θ = 31.9°, rel. 100, hkl 0 2 2
- 2θ = 32.4°, rel. 82, hkl 1 1 1
- 2θ = 37.7°, rel. 31, hkl 1 3 0